# 1
Diffraction record for Na14Mn2O9. The X-ray diffraction stick pattern is theoretical, not measured: it uses a GGA+U-relaxed structure and Cu Kα (weighted mean of Kα1 and Kα2).
Intensities are scaled so that the largest is 100.

Most intense lines, 15° ≤ 2θ ≤ 90°, by angle:
2θ 17.87, I = 81; 2θ 28.12, I = 29; 2θ 32.11, I = 33; 2θ 32.33, I = 32; 2θ 32.66, I = 83; 2θ 42.07, I = 54; 2θ 46.69, I = 87; 2θ 47.02, I = 100

Atomic structure:
Cell lengths 6.7388, 6.7388, 9.4383 Å; angles 90.00, 90.00, 120.00 degrees
Atoms (fractional coordinates):
Na1 0.0000 0.0000 0.2482
Na2 0.0000 0.0000 0.7518
Na3 0.0411 0.6798 0.4086
Na4 0.0675 0.3770 0.0915
Na5 0.3095 0.9325 0.0915
Na6 0.3202 0.3613 0.4086
Na7 0.3613 0.0411 0.5914
Na8 0.3770 0.3095 0.9085
Na9 0.6230 0.6905 0.0915
Na10 0.6387 0.9589 0.4086
Na11 0.6798 0.6387 0.5914
Na12 0.6905 0.0675 0.9085
Na13 0.9325 0.6230 0.9085
Na14 0.9589 0.3202 0.5914
Mn1 0.3333 0.6667 0.7623
Mn2 0.6667 0.3333 0.2377
O1 0.0000 0.0000 0.5000
O2 0.0522 0.3572 0.8373
O3 0.3049 0.9478 0.8373
O4 0.3333 0.6667 0.5387
O5 0.3572 0.3049 0.1627
O6 0.6428 0.6951 0.8373
O7 0.6667 0.3333 0.4613
O8 0.6951 0.0522 0.1627
O9 0.9478 0.6428 0.1627

=====

# 2
Diffraction record for MgV2Cu2O8. The X-ray diffraction stick pattern is theoretical, not measured: it uses a GGA+U-relaxed structure and Cu Kα (weighted mean of Kα1 and Kα2).
Intensities are scaled so that the largest is 100.

Most intense lines, 15° ≤ 2θ ≤ 90°, by angle:
2θ 19.67, I = 100; 2θ 29.28, I = 30; 2θ 32.69, I = 18; 2θ 35.17, I = 31; 2θ 36.53, I = 14; 2θ 44.39, I = 24; 2θ 47.70, I = 18; 2θ 59.95, I = 15

Atomic structure:
Cell lengths 5.8508, 5.8508, 6.1814 Å; angles 113.75, 113.75, 59.05 degrees
Atoms (fractional coordinates):
Mg1 0.0000 0.0000 0.0000
V1 0.2942 0.2942 0.0249
V2 0.7058 0.7058 0.9751
Cu1 0.0000 0.5000 0.5000
Cu2 0.5000 0.0000 0.5000
O1 0.1496 0.6505 0.1261
O2 0.2167 0.2167 0.2682
O3 0.2622 0.2622 0.7106
O4 0.3495 0.8504 0.8739
O5 0.6505 0.1496 0.1261
O6 0.7378 0.7378 0.2894
O7 0.7833 0.7833 0.7318
O8 0.8504 0.3495 0.8739

=====

# 3
Diffraction record for Fe5OF11. The X-ray diffraction stick pattern is theoretical, not measured: it uses a GGA+U-relaxed structure and Cu Kα (weighted mean of Kα1 and Kα2).
Intensities are scaled so that the largest is 100.

Most intense lines, 15° ≤ 2θ ≤ 90°, by angle:
2θ 23.06, I = 100; 2θ 23.64, I = 48; 2θ 31.81, I = 19; 2θ 32.13, I = 19; 2θ 32.43, I = 19; 2θ 39.13, I = 24; 2θ 47.13, I = 26; 2θ 51.71, I = 25

Atomic structure:
Cell lengths 5.2173, 5.5467, 9.1849 Å; angles 73.45, 89.62, 63.18 degrees
Atoms (fractional coordinates):
Fe1 0.0000 0.0000 0.0000
Fe2 0.0283 0.9206 0.3609
Fe3 0.3172 0.4052 0.1022
Fe4 0.5327 0.8962 0.8372
Fe5 0.7665 0.4238 0.5873
O1 0.4167 0.7224 0.0081
F1 0.0231 0.1760 0.4738
F2 0.0303 0.7055 0.2222
F3 0.0790 0.1934 0.7726
F4 0.0914 0.1725 0.1648
F5 0.4552 0.6775 0.4142
F6 0.5348 0.6670 0.7070
F7 0.5649 0.1651 0.9563
F8 0.5962 0.1695 0.6582
F9 0.6206 0.1554 0.2968
F10 0.9503 0.6815 0.9056
F11 0.9669 0.6597 0.5322